Calculated powder diffractogram
Compound: SmNpMn2O6
Radiation: Cu Kα, 1.54184 Å
Structure: a cell relaxed with PBE+U

Largest 10 diffraction maxima, low angle first, 10 to 90 degrees two-theta:
(0 0 1), 19.91°, rel. 85.3; (1 1 0), 20.52°, rel. 80.4; (1 1 1), 28.75°, rel. 100.0; (2 0 0), 29.18°, rel. 79.7; (2 0 1), 35.58°, rel. 37.3; (2 2 0), 41.74°, rel. 49.5; (1 1 2), 45.78°, rel. 50.4; (2 2 1), 46.65°, rel. 36.1; (3 1 1), 51.47°, rel. 41.5; (3 1 2), 63.67°, rel. 36.5

Atomic structure:
```
data_SmNpMn2O6
_chemical_formula_sum 'Sm1 Np1 Mn2 O6'
_symmetry_space_group_name_H-M 'P 4 m m'
_symmetry_Int_Tables_number 99
_cell_length_a 6.1207
_cell_length_b 6.1207
_cell_length_c 4.4591
_cell_angle_alpha 90.00
_cell_angle_beta 90.00
_cell_angle_gamma 90.00
loop_
_symmetry_equiv_pos_as_xyz
'x,y,z'
'-y,x,z'
'-x,-y,z'
'y,-x,z'
'-x,y,z'
'y,x,z'
'x,-y,z'
'-y,-x,z'
loop_
_atom_site_label
_atom_site_type_symbol
_atom_site_fract_x
_atom_site_fract_y
_atom_site_fract_z
_atom_site_occupancy
Sm1 Sm 0.0000 0.0000 0.0000 1
Np1 Np 0.5000 0.5000 0.0779 1
Mn1 Mn 0.0000 0.5000 0.3014 1
O1 O 0.0000 0.0000 0.5207 1
O2 O 0.2595 0.2595 0.1319 1
O3 O 0.5000 0.5000 0.5874 1
```